# 1
This entry pairs a crystal structure of Ba3Zn2CdAg6 with its theoretical X-ray powder pattern. Radiation: a wavelength of 1.5418 Å. Structure: a GGA-PBE-relaxed structure.
No peak broadening, texture or thermal motion is included.

```
data_Ba3Zn2CdAg6
_chemical_formula_sum 'Ba3 Zn2 Cd1 Ag6'
_symmetry_space_group_name_H-M 'P -3 m 1'
_symmetry_Int_Tables_number 164
_symmetry_space_group_name_Hall '-P 3 2"'
_cell_length_a 6.8271
_cell_length_b 6.8271
_cell_length_c 8.7710
_cell_angle_alpha 90.00
_cell_angle_beta 90.00
_cell_angle_gamma 120.00
loop_
_atom_site_label
_atom_site_type_symbol
_atom_site_fract_x
_atom_site_fract_y
_atom_site_fract_z
Ba1 Ba 0.0000 0.0000 0.0000
Ba2 Ba 0.3333 0.6667 0.6653
Zn1 Zn 0.3333 0.6667 0.0618
Cd1 Cd 0.0000 0.0000 0.5000
Ag1 Ag 0.1919 0.3838 0.3037
```

Largest 12 diffraction maxima, most intense first, 5 to 70 degrees two-theta:
- d = 2.451 Å, I = 100, (2 0 2)
- d = 2.801 Å, I = 100, (0 2 1)
- d = 3.414 Å, I = 44, (1 1 0)
- d = 2.924 Å, I = 36, (0 0 3)
- d = 3.522 Å, I = 35, (0 1 2)
- d = 1.707 Å, I = 33, (2 2 0)
- d = 2.079 Å, I = 30, (0 2 3)
- d = 2.694 Å, I = 27, (1 1 2)
- d = 8.771 Å, I = 25, (0 0 1)
- d = 1.761 Å, I = 23, (0 2 4)
- d = 1.474 Å, I = 18, (2 2 3)
- d = 2.235 Å, I = 16, (2 1 0)



# 2
This entry pairs a crystal structure of Ba2Zn3CdAg4 with its theoretical X-ray powder pattern. Radiation: a wavelength of 1.5418 Å. Structure: a GGA-PBE-relaxed structure.
No peak broadening, texture or thermal motion is included.

```
data_Ba2Zn3CdAg4
_chemical_formula_sum 'Ba2 Zn3 Cd1 Ag4'
_symmetry_space_group_name_H-M 'P -4 m 2'
_symmetry_Int_Tables_number 115
_cell_length_a 4.754
_cell_length_b 4.754
_cell_length_c 11.009
_cell_angle_alpha 90.00
_cell_angle_beta 90.00
_cell_angle_gamma 90.00
loop_
_symmetry_equiv_pos_as_xyz
'x,y,z'
'y,-x,-z'
'-x,-y,z'
'-y,x,-z'
'-x,y,z'
'-y,-x,-z'
'x,-y,z'
'y,x,-z'
loop_
_atom_site_label
_atom_site_type_symbol
_atom_site_fract_x
_atom_site_fract_y
_atom_site_fract_z
Ba1 Ba 0.000 0.500 0.242
Zn1 Zn 0.000 0.500 0.883
Zn2 Zn 0.500 0.500 0.500
Cd1 Cd 0.000 0.000 0.500
Ag1 Ag 0.000 0.000 0.000
Ag2 Ag 0.000 0.500 0.640
Ag3 Ag 0.500 0.500 0.000
```

Largest 12 diffraction maxima, most intense first, 5 to 70 degrees two-theta:
- d = 2.869 Å, I = 100, (1 1 2)
- d = 2.377 Å, I = 68, (2 0 0)
- d = 2.905 Å, I = 50, (1 0 3)
- d = 1.840 Å, I = 26, (2 1 3)
- d = 1.681 Å, I = 24, (2 2 0)
- d = 1.450 Å, I = 24, (3 1 2)
- d = 2.130 Å, I = 22, (1 1 4)
- d = 1.998 Å, I = 22, (1 0 5)
- d = 1.529 Å, I = 18, (2 1 5)
- d = 1.611 Å, I = 12, (1 1 6)
- d = 3.362 Å, I = 7, (1 1 0)
- d = 1.455 Å, I = 6, (3 0 3)



# 3
This entry pairs a crystal structure of BaCeAg2 with its theoretical X-ray powder pattern. Radiation: a wavelength of 1.5418 Å. Structure: a GGA-PBE-relaxed structure.
No peak broadening, texture or thermal motion is included.

```
data_BaCeAg2
_chemical_formula_sum 'Ba1 Ce1 Ag2'
_symmetry_space_group_name_H-M 'P 4/m m m'
_symmetry_Int_Tables_number 123
_symmetry_space_group_name_Hall '-P 4 2'
_cell_length_a 3.915
_cell_length_b 3.915
_cell_length_c 7.882
_cell_angle_alpha 90.00
_cell_angle_beta 90.00
_cell_angle_gamma 90.00
loop_
_atom_site_label
_atom_site_type_symbol
_atom_site_fract_x
_atom_site_fract_y
_atom_site_fract_z
Ba1 Ba 0.000 0.000 0.000
Ce1 Ce 0.000 0.000 0.500
Ag1 Ag 0.500 0.500 0.297
```

Largest 12 diffraction maxima, most intense first, 5 to 70 degrees two-theta:
- d = 2.778 Å, I = 100, (1 0 2)
- d = 2.768 Å, I = 58, (1 1 0)
- d = 1.600 Å, I = 37, (2 1 2)
- d = 1.958 Å, I = 21, (2 0 0)
- d = 1.605 Å, I = 11, (1 1 4)
- d = 2.182 Å, I = 8, (1 0 3)
- d = 7.882 Å, I = 8, (0 0 1)
- d = 1.389 Å, I = 7, (2 0 4)
- d = 1.384 Å, I = 7, (2 2 0)
- d = 1.971 Å, I = 5, (0 0 4)
- d = 1.760 Å, I = 4, (1 0 4)
- d = 1.906 Å, I = 4, (1 1 3)



# 4
This entry pairs a crystal structure of BaAg5Cl12 with its theoretical X-ray powder pattern. Radiation: a wavelength of 1.5418 Å. Structure: a GGA-PBE-relaxed structure.
No peak broadening, texture or thermal motion is included.

```
data_BaAg5Cl12
_chemical_formula_sum 'Ba1 Ag5 Cl12'
_symmetry_space_group_name_H-M 'P -1'
_symmetry_Int_Tables_number 2
_cell_length_a 6.479
_cell_length_b 7.168
_cell_length_c 12.210
_cell_angle_alpha 80.20
_cell_angle_beta 81.84
_cell_angle_gamma 67.25
loop_
_symmetry_equiv_pos_as_xyz
'x,y,z'
'-x,-y,-z'
loop_
_atom_site_label
_atom_site_type_symbol
_atom_site_fract_x
_atom_site_fract_y
_atom_site_fract_z
Ba1 Ba 0.000 0.000 0.000
Ag1 Ag 0.000 0.000 0.500
Ag2 Ag 0.329 0.354 0.993
Ag3 Ag 0.334 0.332 0.500
Cl1 Cl 0.003 0.572 0.118
Cl2 Cl 0.034 0.237 0.619
Cl3 Cl 0.299 0.092 0.381
Cl4 Cl 0.363 0.577 0.616
Cl5 Cl 0.405 0.706 0.868
Cl6 Cl 0.410 0.874 0.135
```

Largest 12 diffraction maxima, most intense first, 5 to 70 degrees two-theta:
- d = 5.995 Å, I = 100, (0 0 2)
- d = 3.161 Å, I = 30, (1 -1 2)
- d = 2.370 Å, I = 26, (2 1 4)
- d = 3.766 Å, I = 23, (1 -1 0)
- d = 2.789 Å, I = 21, (1 2 -2)
- d = 3.467 Å, I = 19, (1 2 0)
- d = 2.657 Å, I = 17, (2 1 -2)
- d = 3.217 Å, I = 16, (-1 1 2)
- d = 2.142 Å, I = 16, (0 3 2)
- d = 2.505 Å, I = 15, (1 2 4)
- d = 3.015 Å, I = 13, (2 1 2)
- d = 3.271 Å, I = 13, (1 2 2)



> Number 1 is which compound?

Ba3Zn2CdAg6



What did the second record say?
This entry pairs a crystal structure of Ba2Zn3CdAg4 with its theoretical X-ray powder pattern. Radiation: a wavelength of 1.5418 Å. Structure: a GGA-PBE-relaxed structure.
No peak broadening, texture or thermal motion is included.

```
data_Ba2Zn3CdAg4
_chemical_formula_sum 'Ba2 Zn3 Cd1 Ag4'
_symmetry_space_group_name_H-M 'P -4 m 2'
_symmetry_Int_Tables_number 115
_cell_length_a 4.754
_cell_length_b 4.754
_cell_length_c 11.009
_cell_angle_alpha 90.00
_cell_angle_beta 90.00
_cell_angle_gamma 90.00
loop_
_symmetry_equiv_pos_as_xyz
'x,y,z'
'y,-x,-z'
'-x,-y,z'
'-y,x,-z'
'-x,y,z'
'-y,-x,-z'
'x,-y,z'
'y,x,-z'
loop_
_atom_site_label
_atom_site_type_symbol
_atom_site_fract_x
_atom_site_fract_y
_atom_site_fract_z
Ba1 Ba 0.000 0.500 0.242
Zn1 Zn 0.000 0.500 0.883
Zn2 Zn 0.500 0.500 0.500
Cd1 Cd 0.000 0.000 0.500
Ag1 Ag 0.000 0.000 0.000
Ag2 Ag 0.000 0.500 0.640
Ag3 Ag 0.500 0.500 0.000
```

Largest 12 diffraction maxima, most intense first, 5 to 70 degrees two-theta:
- d = 2.869 Å, I = 100, (1 1 2)
- d = 2.377 Å, I = 68, (2 0 0)
- d = 2.905 Å, I = 50, (1 0 3)
- d = 1.840 Å, I = 26, (2 1 3)
- d = 1.681 Å, I = 24, (2 2 0)
- d = 1.450 Å, I = 24, (3 1 2)
- d = 2.130 Å, I = 22, (1 1 4)
- d = 1.998 Å, I = 22, (1 0 5)
- d = 1.529 Å, I = 18, (2 1 5)
- d = 1.611 Å, I = 12, (1 1 6)
- d = 3.362 Å, I = 7, (1 1 0)
- d = 1.455 Å, I = 6, (3 0 3)